Theoretical X-ray powder pattern
Compound: Ba2CaCu2MoO8
Radiation: Cu Kα, 1.54184 Å
Structure: a DFT-relaxed cell (PBE+U, Alexandria)
Kinematic intensities with the Lorentz-polarization factor, no thermal factor.

Atomic structure:
Cell lengths 3.927, 3.927, 12.412 Å; angles 90.00, 90.00, 90.00 degrees
Fractional positions:
Ba  0.000  0.000  0.213
Ba  0.000  0.000  0.787
Ca  0.000  0.000  0.500
Cu  0.500  0.500  0.378
Cu  0.500  0.500  0.622
Mo  0.500  0.500  0.000
O  0.000  0.500  0.000
O  0.000  0.500  0.374
O  0.000  0.500  0.626
O  0.500  0.000  0.000
O  0.500  0.000  0.374
O  0.500  0.000  0.626
O  0.500  0.500  0.154
O  0.500  0.500  0.846

Peak list (10 most intense, 15 to 90 degrees two-theta, most intense first)
- d = 2.848 Å, intensity 100
- d = 3.318 Å, intensity 88
- d = 2.777 Å, intensity 77
- d = 1.964 Å, intensity 54
- d = 1.616 Å, intensity 51
- d = 2.435 Å, intensity 32
- d = 2.482 Å, intensity 30
- d = 1.690 Å, intensity 25
- d = 1.540 Å, intensity 25
- d = 1.851 Å, intensity 24